# 1
Starting from a DFT-relaxed cell (PBE, Alexandria), the X-ray diffraction stick pattern of PrCd11Ge was calculated for Cu Kα (λ = 1.5418 Å).
Intensities are scaled so that the largest is 100.

Crystal structure
Cell lengths 5.996, 14.261, 7.588 Å; angles 90.00, 112.99, 90.00 degrees
Space group C2/m (No. 12)
Symmetry-distinct sites (fractional):
Pr1 0.000 0.000 0.000
Cd1 0.000 0.500 0.500
Cd2 0.103 0.394 0.212
Cd3 0.172 0.176 0.353
Cd4 0.250 0.250 0.000
Ge1 0.000 0.000 0.500

Peak list (10 most intense, 2θ = 15–90°, by angle)
- hkl 2 0 -1, 2θ 29.80, I = 26
- hkl 1 3 1, 2θ 30.73, I = 61
- hkl 2 2 0, 2θ 34.86, I = 47
- hkl 2 2 -2, 2θ 34.97, I = 48
- hkl 1 5 -1, 2θ 35.44, I = 67
- hkl 0 4 2, 2θ 35.98, I = 100
- hkl 1 1 -3, 2θ 36.09, I = 37
- hkl 2 4 -1, 2θ 39.26, I = 41
- hkl 0 6 1, 2θ 40.07, I = 21
- hkl 2 6 2, 2θ 63.94, I = 33

# 2
Starting from a DFT-relaxed cell (PBE, Alexandria), the X-ray diffraction stick pattern of Pu3Cd2Ge3 was calculated for Cu Kα (λ = 1.5418 Å).
Intensities are scaled so that the largest is 100.

Crystal structure
Cell lengths 4.134, 4.486, 19.242 Å; angles 90.00, 90.00, 90.00 degrees
Space group Immm (No. 71)
Symmetry-distinct sites (fractional):
Pu1 0.000 0.000 0.000
Pu2 0.000 0.500 0.117
Cd1 0.000 0.000 0.249
Ge1 0.000 0.000 0.500
Ge2 0.000 0.500 0.367

Peak list (10 most intense, 2θ = 15–90°, by angle)
- hkl 1 0 1, 2θ 21.99, I = 19
- hkl 0 1 5, 2θ 30.61, I = 13
- hkl 1 1 4, 2θ 34.91, I = 100
- hkl 0 0 8, 2θ 37.39, I = 19
- hkl 0 2 0, 2θ 40.21, I = 17
- hkl 2 0 0, 2θ 43.79, I = 14
- hkl 0 2 8, 2θ 56.06, I = 12
- hkl 1 1 12, 2θ 65.85, I = 13
- hkl 1 3 4, 2θ 69.67, I = 14
- hkl 3 1 4, 2θ 74.71, I = 11

# 3
Starting from a DFT-relaxed cell (PBE, Alexandria), the X-ray diffraction stick pattern of RbCd3Ge3 was calculated for Cu Kα (λ = 1.5418 Å).
Intensities are scaled so that the largest is 100.

Crystal structure
Cell lengths 7.604, 7.604, 7.604 Å; angles 90.00, 90.00, 90.00 degrees
Space group Pm-3n (No. 223)
Symmetry-distinct sites (fractional):
Rb1 0.000 0.000 0.000
Cd1 0.000 0.250 0.500
Ge1 0.000 0.500 0.250

Peak list (10 most intense, 2θ = 15–90°, by angle)
- hkl 1 1 0, 2θ 16.49, I = 27
- hkl 2 0 0, 2θ 23.40, I = 42
- hkl 2 1 1, 2θ 28.76, I = 100
- hkl 2 2 2, 2θ 41.12, I = 38
- hkl 3 2 1, 2θ 44.59, I = 59
- hkl 4 0 0, 2θ 47.85, I = 34
- hkl 4 2 0, 2θ 53.92, I = 17
- hkl 5 2 1, 2θ 67.46, I = 17
- hkl 4 4 0, 2θ 69.99, I = 21
- hkl 6 1 1, 2θ 77.36, I = 17

# 4
Starting from a DFT-relaxed cell (PBE, Alexandria), the X-ray diffraction stick pattern of Rb3CdGe was calculated for Cu Kα (λ = 1.5418 Å).
Intensities are scaled so that the largest is 100.

Crystal structure
Cell lengths 11.509, 11.085, 9.198 Å; angles 90.00, 122.68, 90.00 degrees
Space group C2/m (No. 12)
Symmetry-distinct sites (fractional):
Rb1 0.030 0.000 0.246
Rb2 0.213 0.307 0.240
Cd1 0.150 0.500 0.836
Ge1 0.102 0.500 0.484

Peak list (10 most intense, 2θ = 15–90°, by angle)
- hkl 0 2 0, 2θ 15.99, I = 40
- hkl 2 2 -1, 2θ 22.33, I = 36
- hkl 0 0 2, 2θ 22.97, I = 46
- hkl 2 2 0, 2θ 24.41, I = 47
- hkl 2 2 -2, 2θ 25.87, I = 100
- hkl 1 3 -1, 2θ 26.16, I = 85
- hkl 3 1 0, 2θ 28.80, I = 56
- hkl 1 3 1, 2θ 30.27, I = 62
- hkl 3 1 -3, 2θ 31.58, I = 48
- hkl 3 5 -3, 2θ 51.74, I = 33

- Which formula does entry 3 have?
  RbCd3Ge3

- Number 1 is which compound?
  PrCd11Ge